Simulated X-ray powder pattern of LuSiPd2 for λ = 1.5418 Å (Cu Kα), from a crystal structure in the Materials Project, relaxed with GGA-PBE.
Intensities are scaled so that the largest is 100.

Top 6 peaks for 10 to 80 degrees two-theta, in order of rising 2θ:
| h k l | two_theta | I/Imax |
| --- | --- | --- |
| 2 1 1 | 32.37 | 74 |
| 1 2 1 | 32.84 | 76 |
| 2 2 0 | 35.77 | 93 |
| 1 1 2 | 37.43 | 100 |
| 3 0 1 | 41.00 | 67 |
| 3 3 2 | 65.39 | 52 |

Structure:
a = 7.213 Å, b = 6.993 Å, c = 5.472 Å
α = 90.00°, β = 90.00°, γ = 90.00°
Space group Pnma (No. 62)
Asymmetric unit:
1 Lu 0.027 0.250 0.143 x4
2 Si 0.121 0.750 0.358 x4
3 Pd 0.179 0.051 0.594 x8